Simulated X-ray powder pattern
Compound: TbThScZn
Radiation: Cu Kα (λ = 1.5418 Å)
Structure: a structure optimized by DFT (GGA-PBE)
Lines closer than 0.1° are merged.

Structural model:
Lattice parameters (Å, degrees): 3.499 3.499 8.273 90.00 90.00 90.00
Space group P4mm (No. 99)
Symmetry-distinct sites (fractional):
Tb (0.000, 0.000, 0.000) [1 per cell]
Th (0.500, 0.500, 0.304) [1 per cell]
Sc (0.000, 0.000, 0.582) [1 per cell]
Zn (0.500, 0.500, 0.768) [1 per cell]

Principal peaks in the range 2θ from 15° to 90°, by intensity:
2θ/deg  I (rel.)  (hkl)
33.55  100  1 0 2
36.31  46  1 1 0
27.68  45  1 0 1
63.57  31  2 1 2
49.49  18  1 1 3
52.29  16  2 0 0
32.47  14  0 0 3
58.13  14  1 1 4
62.05  12  1 0 5
60.19  11  2 1 1